[1]
For ErScO3, a crystal structure in the Materials Project, relaxed with GGA-PBE gives the simulated X-ray powder pattern in this record (Cu Kα (weighted mean of Kα1 and Kα2)).

Cell lengths 5.7209, 7.9436, 5.4207 Å; angles 90.00, 90.00, 90.00 degrees
Positions (direct):
Er: 0.0630 0.2500 0.0179
Er: 0.4370 0.7500 0.5179
Er: 0.5630 0.2500 0.4821
Er: 0.9370 0.7500 0.9821
Sc: 0.0000 0.0000 0.5000
Sc: 0.0000 0.5000 0.5000
Sc: 0.5000 0.0000 0.0000
Sc: 0.5000 0.5000 0.0000
O: 0.0600 0.7500 0.3676
O: 0.1890 0.5686 0.8142
O: 0.1890 0.9314 0.8142
O: 0.3110 0.0686 0.3142
O: 0.3110 0.4314 0.3142
O: 0.4400 0.2500 0.8676
O: 0.5600 0.7500 0.1325
O: 0.6890 0.5686 0.6858
O: 0.6890 0.9314 0.6858
O: 0.8110 0.0686 0.1858
O: 0.8110 0.4314 0.1858
O: 0.9400 0.2500 0.6324

Largest 12 diffraction maxima, low angle first, 2θ from 5° to 70°:
2θ 22.38, intensity 23
2θ 22.60, intensity 35
2θ 25.26, intensity 21
2θ 31.27, intensity 18
2θ 32.02, intensity 100
2θ 33.05, intensity 23
2θ 40.28, intensity 14
2θ 45.68, intensity 14
2θ 46.14, intensity 16
2θ 47.62, intensity 15
2θ 52.13, intensity 20
2θ 58.39, intensity 28

[2]
For Er2Se3O9, a crystal structure in the Materials Project, relaxed with GGA-PBE gives the simulated X-ray powder pattern in this record (Cu Kα (weighted mean of Kα1 and Kα2)).

Cell lengths 7.0533, 8.0972, 9.0477 Å; angles 71.56, 70.05, 66.06 degrees
Positions (direct):
Er: 0.1655 0.2733 0.4092
Er: 0.2420 0.7359 0.7974
Er: 0.7580 0.2641 0.2026
Er: 0.8345 0.7267 0.5908
Se: 0.0727 0.2248 0.8019
Se: 0.3526 0.2499 0.0347
Se: 0.3863 0.7600 0.4145
Se: 0.6137 0.2400 0.5855
Se: 0.6474 0.7501 0.9653
Se: 0.9273 0.7752 0.1981
O: 0.0176 0.5939 0.3523
O: 0.0910 0.2892 0.1514
O: 0.1398 0.0554 0.6951
O: 0.1505 0.7914 0.0498
O: 0.1551 0.7468 0.5647
O: 0.3330 0.4347 0.8790
O: 0.3401 0.9889 0.3463
O: 0.4329 0.3061 0.1689
O: 0.4668 0.2933 0.4446
O: 0.5332 0.7067 0.5554
O: 0.5671 0.6939 0.8311
O: 0.6599 0.0111 0.6537
O: 0.6670 0.5653 0.1210
O: 0.8449 0.2532 0.4353
O: 0.8495 0.2086 0.9502
O: 0.8602 0.9446 0.3049
O: 0.9090 0.7108 0.8486
O: 0.9824 0.4061 0.6477

Largest 12 diffraction maxima, low angle first, 2θ from 5° to 70°:
2θ 14.46, intensity 26
2θ 24.59, intensity 100
2θ 25.29, intensity 86
2θ 28.55, intensity 33
2θ 29.76, intensity 18
2θ 31.01, intensity 22
2θ 31.29, intensity 23
2θ 31.93, intensity 26
2θ 32.63, intensity 29
2θ 35.16, intensity 20
2θ 35.98, intensity 23
2θ 50.39, intensity 24

[3]
For Er2SeO2, a crystal structure in the Materials Project, relaxed with GGA-PBE gives the simulated X-ray powder pattern in this record (Cu Kα (weighted mean of Kα1 and Kα2)).

Cell lengths 3.8069, 3.8069, 6.7819 Å; angles 90.00, 90.00, 120.00 degrees
Positions (direct):
Er: 0.3333 0.6667 0.2916
Er: 0.6667 0.3333 0.7084
Se: 0.0000 0.0000 0.0000
O: 0.3333 0.6667 0.6256
O: 0.6667 0.3333 0.3744

Largest 12 diffraction maxima, low angle first, 2θ from 5° to 70°:
2θ 26.28, intensity 12
2θ 27.05, intensity 8
2θ 30.14, intensity 100
2θ 38.07, intensity 40
2θ 39.88, intensity 11
2θ 47.78, intensity 33
2θ 48.85, intensity 16
2θ 55.35, intensity 10
2θ 57.54, intensity 17
2θ 61.50, intensity 10
2θ 62.66, intensity 10
2θ 63.94, intensity 15

[4]
For Er2SiSeO4, a crystal structure in the Materials Project, relaxed with GGA-PBE gives the simulated X-ray powder pattern in this record (Cu Kα (weighted mean of Kα1 and Kα2)).

Cell lengths 6.0201, 6.9208, 10.7895 Å; angles 90.00, 90.00, 90.00 degrees
Positions (direct):
Er: 0.1093 0.2500 0.0000
Er: 0.1093 0.2500 0.5000
Er: 0.3655 0.5269 0.2500
Er: 0.3655 0.9731 0.7500
Er: 0.6345 0.0269 0.2500
Er: 0.6345 0.4731 0.7500
Er: 0.8907 0.7500 0.0000
Er: 0.8907 0.7500 0.5000
Si: 0.3854 0.7500 0.0000
Si: 0.3854 0.7500 0.5000
Si: 0.6146 0.2500 0.0000
Si: 0.6146 0.2500 0.5000
Se: 0.0710 0.6333 0.7500
Se: 0.0710 0.8667 0.2500
Se: 0.9290 0.1333 0.7500
Se: 0.9290 0.3667 0.2500
O: 0.2210 0.5671 0.0314
O: 0.2210 0.5671 0.4686
O: 0.2210 0.9329 0.5314
O: 0.2210 0.9329 0.9686
O: 0.4469 0.2413 0.6214
O: 0.4469 0.2413 0.8786
O: 0.4469 0.2587 0.1214
O: 0.4469 0.2587 0.3786
O: 0.5531 0.7413 0.6214
O: 0.5531 0.7413 0.8786
O: 0.5531 0.7587 0.1214
O: 0.5531 0.7587 0.3786
O: 0.7790 0.0671 0.0314
O: 0.7790 0.0671 0.4686
O: 0.7790 0.4329 0.5314
O: 0.7790 0.4329 0.9686

Largest 12 diffraction maxima, low angle first, 2θ from 5° to 70°:
2θ 21.22, intensity 53
2θ 22.13, intensity 46
2θ 25.64, intensity 43
2θ 29.78, intensity 34
2θ 30.70, intensity 100
2θ 33.21, intensity 72
2θ 33.51, intensity 62
2θ 36.56, intensity 57
2θ 41.23, intensity 38
2θ 45.20, intensity 40
2θ 47.11, intensity 23
2θ 52.80, intensity 25

[5]
For Er2Sn2O7, a crystal structure in the Materials Project, relaxed with GGA-PBE gives the simulated X-ray powder pattern in this record (Cu Kα (weighted mean of Kα1 and Kα2)).

Cell lengths 7.3875, 7.3875, 7.3875 Å; angles 60.00, 60.00, 60.00 degrees
Positions (direct):
Er: 0.0000 0.0000 0.0000
Er: 0.0000 0.0000 0.5000
Er: 0.0000 0.5000 0.0000
Er: 0.5000 0.0000 0.0000
Sn: 0.0000 0.5000 0.5000
Sn: 0.5000 0.0000 0.5000
Sn: 0.5000 0.5000 0.0000
Sn: 0.5000 0.5000 0.5000
O: 0.1250 0.1250 0.1250
O: 0.1594 0.1594 0.5906
O: 0.1594 0.5906 0.1594
O: 0.1594 0.5906 0.5906
O: 0.4094 0.4094 0.8406
O: 0.4094 0.8406 0.4094
O: 0.4094 0.8406 0.8406
O: 0.5906 0.1594 0.1594
O: 0.5906 0.1594 0.5906
O: 0.5906 0.5906 0.1594
O: 0.8406 0.4094 0.4094
O: 0.8406 0.4094 0.8406
O: 0.8406 0.8406 0.4094
O: 0.8750 0.8750 0.8750

Largest 10 diffraction maxima, low angle first, 2θ from 5° to 70°:
2θ 14.69, intensity 3
2θ 28.33, intensity 1
2θ 29.62, intensity 100
2θ 34.33, intensity 34
2θ 37.52, intensity 3
2θ 45.09, intensity 1
2θ 49.34, intensity 48
2θ 51.77, intensity 1
2θ 58.61, intensity 45
2θ 61.49, intensity 10

[6]
For ErTa3O9, a crystal structure in the Materials Project, relaxed with GGA-PBE gives the simulated X-ray powder pattern in this record (Cu Kα (weighted mean of Kα1 and Kα2)).

Cell lengths 5.2734, 7.5181, 8.3106 Å; angles 90.00, 92.46, 90.00 degrees
Positions (direct):
Er: 0.0364 0.2500 0.4355
Er: 0.9636 0.7500 0.5645
Ta: 0.0000 0.0000 0.0000
Ta: 0.0000 0.5000 0.0000
Ta: 0.4696 0.0069 0.6950
Ta: 0.4696 0.4931 0.6950
Ta: 0.5304 0.5069 0.3050
Ta: 0.5304 0.9931 0.3050
O: 0.0946 0.2500 0.9772
O: 0.1471 0.5658 0.7839
O: 0.1471 0.9342 0.7839
O: 0.2556 0.5433 0.4674
O: 0.2556 0.9567 0.4674
O: 0.3269 0.5521 0.1209
O: 0.3269 0.9479 0.1209
O: 0.3346 0.2500 0.6533
O: 0.4193 0.2500 0.3162
O: 0.5807 0.7500 0.6838
O: 0.6654 0.7500 0.3467
O: 0.6731 0.0521 0.8791
O: 0.6731 0.4479 0.8791
O: 0.7444 0.0433 0.5326
O: 0.7444 0.4567 0.5326
O: 0.8529 0.0658 0.2161
O: 0.8529 0.4342 0.2161
O: 0.9054 0.7500 0.0228

Largest 12 diffraction maxima, low angle first, 2θ from 5° to 70°:
2θ 23.67, intensity 63
2θ 26.76, intensity 100
2θ 27.93, intensity 74
2θ 29.18, intensity 47
2θ 30.89, intensity 47
2θ 31.41, intensity 88
2θ 32.35, intensity 29
2θ 34.03, intensity 56
2θ 36.03, intensity 36
2θ 40.47, intensity 38
2θ 48.43, intensity 33
2θ 54.87, intensity 36

[7]
For ErTa3O9, a crystal structure in the Materials Project, relaxed with GGA-PBE gives the simulated X-ray powder pattern in this record (Cu Kα (weighted mean of Kα1 and Kα2)).

Cell lengths 6.4713, 7.6400, 12.6108 Å; angles 90.00, 90.00, 90.00 degrees
Positions (direct):
Er: 0.0552 0.2500 0.0380
Er: 0.4448 0.7500 0.5380
Er: 0.5552 0.2500 0.4620
Er: 0.9448 0.7500 0.9620
Ta: 0.0000 0.0000 0.5000
Ta: 0.0000 0.5000 0.5000
Ta: 0.2075 0.0027 0.7868
Ta: 0.2075 0.4973 0.7868
Ta: 0.2925 0.5027 0.2868
Ta: 0.2925 0.9973 0.2868
Ta: 0.5000 0.0000 0.0000
Ta: 0.5000 0.5000 0.0000
Ta: 0.7075 0.0027 0.7132
Ta: 0.7075 0.4973 0.7132
Ta: 0.7925 0.5027 0.2132
Ta: 0.7925 0.9973 0.2132
O: 0.0177 0.0413 0.6570
O: 0.0177 0.4587 0.6570
O: 0.0827 0.7500 0.5249
O: 0.1005 0.0349 0.1666
O: 0.1005 0.4651 0.1666
O: 0.1700 0.2500 0.8286
O: 0.2048 0.7500 0.8016
O: 0.2061 0.5378 0.9631
O: 0.2061 0.9622 0.9631
O: 0.2939 0.0378 0.4631
O: 0.2939 0.4622 0.4631
O: 0.2952 0.2500 0.3016
O: 0.3300 0.7500 0.3286
O: 0.3995 0.5349 0.6666
O: 0.3995 0.9651 0.6666
O: 0.4173 0.2500 0.0249
O: 0.4823 0.5413 0.1570
O: 0.4823 0.9587 0.1570
O: 0.5177 0.0413 0.8430
O: 0.5177 0.4587 0.8430
O: 0.5827 0.7500 0.9751
O: 0.6005 0.0349 0.3334
O: 0.6005 0.4651 0.3334
O: 0.6700 0.2500 0.6714
O: 0.7048 0.7500 0.6984
O: 0.7061 0.5378 0.5369
O: 0.7061 0.9622 0.5369
O: 0.7939 0.0378 0.0369
O: 0.7939 0.4622 0.0369
O: 0.7952 0.2500 0.1984
O: 0.8300 0.7500 0.1714
O: 0.8995 0.5349 0.8334
O: 0.8995 0.9651 0.8334
O: 0.9173 0.2500 0.4751
O: 0.9823 0.5413 0.3430
O: 0.9823 0.9587 0.3430

Largest 12 diffraction maxima, low angle first, 2θ from 5° to 70°:
2θ 23.29, intensity 58
2θ 27.30, intensity 37
2θ 28.03, intensity 75
2θ 28.31, intensity 49
2θ 31.07, intensity 100
2θ 31.57, intensity 31
2θ 34.62, intensity 52
2θ 39.18, intensity 28
2θ 47.61, intensity 35
2θ 51.60, intensity 28
2θ 57.94, intensity 37
2θ 61.58, intensity 27

[8]
For ErTaO4, a crystal structure in the Materials Project, relaxed with GGA-PBE gives the simulated X-ray powder pattern in this record (Cu Kα (weighted mean of Kα1 and Kα2)).

Cell lengths 5.1229, 5.4902, 5.3098 Å; angles 90.00, 96.37, 90.00 degrees
Positions (direct):
Er: 0.0000 0.2321 0.2500
Er: 0.0000 0.7679 0.7500
Ta: 0.5000 0.3051 0.7500
Ta: 0.5000 0.6949 0.2500
O: 0.2482 0.0840 0.5977
O: 0.2482 0.9160 0.0977
O: 0.2672 0.4347 0.9965
O: 0.2672 0.5653 0.4965
O: 0.7328 0.4347 0.5035
O: 0.7328 0.5653 0.0035
O: 0.7518 0.0840 0.9023
O: 0.7518 0.9160 0.4023

Largest 12 diffraction maxima, low angle first, 2θ from 5° to 70°:
2θ 28.13, intensity 100
2θ 30.43, intensity 81
2θ 32.62, intensity 21
2θ 33.98, intensity 25
2θ 35.26, intensity 19
2θ 46.76, intensity 17
2θ 47.82, intensity 22
2θ 48.79, intensity 22
2θ 52.66, intensity 12
2θ 55.94, intensity 16
2θ 57.68, intensity 14
2θ 61.60, intensity 12

[9]
For Er3TaO7, a crystal structure in the Materials Project, relaxed with GGA-PBE gives the simulated X-ray powder pattern in this record (Cu Kα (weighted mean of Kα1 and Kα2)).

Cell lengths 6.3498, 6.4388, 7.5505 Å; angles 73.20, 89.64, 82.27 degrees
Positions (direct):
Er: 0.0446 0.0068 0.2496
Er: 0.2325 0.5417 0.1086
Er: 0.2366 0.5391 0.6151
Er: 0.7634 0.4609 0.3849
Er: 0.7675 0.4583 0.8914
Er: 0.9554 0.9932 0.7504
Ta: 0.5000 0.0000 0.0000
Ta: 0.5000 0.0000 0.5000
O: 0.0425 0.6389 0.8428
O: 0.0582 0.6506 0.3334
O: 0.2066 0.9272 0.5517
O: 0.2072 0.9348 0.9802
O: 0.4038 0.0611 0.2341
O: 0.4230 0.3208 0.4599
O: 0.4317 0.3343 0.8856
O: 0.5683 0.6657 0.1144
O: 0.5770 0.6792 0.5401
O: 0.5962 0.9389 0.7659
O: 0.7928 0.0652 0.0198
O: 0.7934 0.0728 0.4483
O: 0.9418 0.3494 0.6666
O: 0.9575 0.3611 0.1572

Largest 12 diffraction maxima, low angle first, 2θ from 5° to 70°:
2θ 28.93, intensity 100
2θ 29.15, intensity 99
2θ 29.26, intensity 93
2θ 30.11, intensity 90
2θ 33.83, intensity 43
2θ 34.14, intensity 93
2θ 48.10, intensity 24
2θ 48.21, intensity 33
2θ 48.41, intensity 27
2θ 49.25, intensity 26
2θ 49.52, intensity 26
2θ 57.79, intensity 25